Simulated powder X-ray diffraction pattern
Compound: Mg3Rh
Radiation: Cu Kα X-rays
Structure: a crystal structure in Alexandria, relaxed with GGA-PBE
Peak positions follow from Bragg's law for the DFT cell and can differ from measured ones.

Cell and atoms:
Cell lengths 7.399, 8.053, 5.222 Å; angles 90.00, 90.00, 90.00 degrees
Sites, in units of the cell vectors:
Mg1 0.026 0.250 0.095
Mg2 0.171 0.062 0.609
Mg3 0.171 0.438 0.609
Mg4 0.329 0.562 0.109
Mg5 0.329 0.938 0.109
Mg6 0.474 0.750 0.595
Mg7 0.526 0.250 0.405
Mg8 0.671 0.062 0.891
Mg9 0.671 0.438 0.891
Mg10 0.829 0.562 0.391
Mg11 0.829 0.938 0.391
Mg12 0.974 0.750 0.905
Rh1 0.129 0.750 0.422
Rh2 0.371 0.250 0.922
Rh3 0.629 0.750 0.078
Rh4 0.871 0.250 0.578

Most intense lines, 10° ≤ 2θ ≤ 90°, by angle:
hkl 0 1 1, 2θ = 20.27°, I 49.5; hkl 1 0 1, 2θ = 20.82°, I 79.8; hkl 0 2 0, 2θ = 22.08°, I 79.5; hkl 1 1 1, 2θ = 23.60°, I 100.0; hkl 2 1 0, 2θ = 26.51°, I 73.5; hkl 2 2 1, 2θ = 37.23°, I 49.3; hkl 1 1 2, 2θ = 38.22°, I 73.1; hkl 1 3 1, 2θ = 39.67°, I 80.3; hkl 3 0 1, 2θ = 40.45°, I 59.2; hkl 2 3 0, 2θ = 41.57°, I 61.7; hkl 1 2 2, 2θ = 43.06°, I 49.6; hkl 2 2 3, 2θ = 63.42°, I 36.0

Simulated powder X-ray diffraction pattern
Compound: Mg2Si
Radiation: Cu Kα X-rays
Structure: a crystal structure in Alexandria, relaxed with GGA-PBE
Peak positions follow from Bragg's law for the DFT cell and can differ from measured ones.

Cell and atoms:
Cell lengths 5.911, 6.121, 7.594 Å; angles 104.25, 97.92, 108.63 degrees
Sites, in units of the cell vectors:
Mg1 0.000 0.000 0.000
Mg2 0.001 0.886 0.388
Mg3 0.306 0.486 0.317
Mg4 0.365 0.833 0.813
Mg5 0.601 0.051 0.550
Mg6 0.703 0.595 0.649
Mg7 0.725 0.297 0.233
Mg8 0.986 0.459 0.945
Si1 0.049 0.385 0.580
Si2 0.317 0.249 0.771
Si3 0.369 0.868 0.178
Si4 0.595 0.602 0.034

Most intense lines, 10° ≤ 2θ ≤ 90°, by angle:
hkl 1 0 2, 2θ = 33.05°, I 60.3; hkl 1 1 1, 2θ = 33.34°, I 73.2; hkl 0 2 -2, 2θ = 34.38°, I 70.0; hkl -1 2 1, 2θ = 35.34°, I 38.6; hkl 0 1 -3, 2θ = 36.12°, I 37.0; hkl 2 0 -2, 2θ = 36.47°, I 100.0; hkl 2 -2 0, 2θ = 36.89°, I 55.8; hkl 2 -2 1, 2θ = 38.25°, I 77.8; hkl 1 2 -1, 2θ = 39.31°, I 42.0; hkl 0 2 -3, 2θ = 41.76°, I 62.2; hkl -1 1 3, 2θ = 43.27°, I 49.4; hkl 3 0 0, 2θ = 50.27°, I 45.6

Simulated powder X-ray diffraction pattern
Compound: ZnH4Br3N
Radiation: Cu Kα X-rays
Structure: a crystal structure in Alexandria, relaxed with GGA-PBE
Peak positions follow from Bragg's law for the DFT cell and can differ from measured ones.

Cell and atoms:
Cell lengths 6.485, 9.373, 14.217 Å; angles 84.10, 89.71, 89.17 degrees
Sites, in units of the cell vectors:
Zn1 0.000 0.000 0.000
Zn2 0.013 0.404 0.588
Zn3 0.494 0.226 0.070
Zn4 0.510 0.675 0.534
H1 0.082 0.677 0.844
H2 0.090 0.090 0.285
H3 0.162 0.521 0.799
H4 0.286 0.678 0.772
H5 0.299 0.589 0.884
H6 0.358 0.790 0.170
H7 0.473 0.633 0.153
H8 0.479 0.164 0.723
H9 0.511 0.006 0.679
H10 0.522 0.714 0.254
H11 0.619 0.782 0.150
H12 0.676 0.140 0.647
H13 0.683 0.053 0.759
H14 0.828 0.108 0.275
H15 0.926 0.970 0.344
H16 0.940 0.137 0.378
Br1 0.160 0.299 0.736
Br2 0.267 0.504 0.473
Br3 0.307 0.835 0.622
Br4 0.369 0.054 0.963
Br5 0.375 0.472 0.042
Br6 0.454 0.127 0.232
Br7 0.702 0.759 0.395
Br8 0.757 0.569 0.655
Br9 0.810 0.243 0.506
Br10 0.865 0.240 0.024
Br11 0.868 0.883 0.870
Br12 0.987 0.840 0.145
N1 0.208 0.616 0.825
N2 0.492 0.729 0.182
N3 0.589 0.092 0.703
N4 0.949 0.077 0.320

Most intense lines, 10° ≤ 2θ ≤ 90°, by angle:
hkl 0 1 1, 2θ = 10.82°, I 100.0; hkl 0 1 -1, 2θ = 11.89°, I 52.4; hkl 0 0 2, 2θ = 12.52°, I 83.0; hkl 1 1 1, 2θ = 17.33°, I 29.8; hkl -1 1 1, 2θ = 17.58°, I 23.9; hkl 1 1 -1, 2θ = 18.06°, I 26.9; hkl 1 1 -2, 2θ = 21.42°, I 27.3; hkl 1 -2 0, 2θ = 23.66°, I 58.2; hkl 1 2 2, 2θ = 25.59°, I 47.3; hkl -1 2 2, 2θ = 25.96°, I 70.2; hkl 0 1 -4, 2θ = 27.89°, I 29.0; hkl 2 0 -1, 2θ = 28.25°, I 35.6